Entry 1:
The following is a computed powder diffraction line list of Sr8Mg3FeMo4O24. It was derived from a structure optimized by DFT (GGA+U), using Cu Kα, 1.54184 Å.
Intensities are scaled so that the largest is 100.

Peak list (10 most intense, 2θ = 10–90°, low angle first)
2θ 19.2, I 22; 2θ 31.5, I 100; 2θ 31.8, I 54; 2θ 39.0, I 13; 2θ 44.7, I 20; 2θ 45.5, I 18; 2θ 45.8, I 17; 2θ 56.0, I 21; 2θ 56.4, I 21; 2θ 56.6, I 21

Cell and atoms:
```
Sr8Mg3FeMo4O24
1.0
5.620 -8.101 0.000
5.620 8.101 0.000
-5.592 0.000 5.625
Sr Mg Fe Mo O
8 3 1 4 24
direct
0.122 0.372 0.492 Sr
0.123 0.373 0.003 Sr
0.372 0.122 0.492 Sr
0.373 0.123 0.003 Sr
0.627 0.877 0.997 Sr
0.628 0.878 0.508 Sr
0.877 0.627 0.997 Sr
0.878 0.628 0.508 Sr
0.000 0.000 0.500 Mg
0.251 0.749 0.000 Mg
0.749 0.251 0.000 Mg
0.500 0.500 0.500 Fe
0.000 0.000 0.000 Mo
0.249 0.751 0.500 Mo
0.500 0.500 0.000 Mo
0.751 0.249 0.500 Mo
0.009 0.512 0.219 O
0.038 0.038 0.796 O
0.125 0.875 0.000 O
0.129 0.871 0.500 O
0.212 0.707 0.700 O
0.254 0.254 0.294 O
0.260 0.260 0.719 O
0.293 0.788 0.300 O
0.373 0.627 0.500 O
0.380 0.620 0.000 O
0.457 0.457 0.202 O
0.488 0.991 0.781 O
0.512 0.009 0.219 O
0.543 0.543 0.798 O
0.620 0.380 0.000 O
0.627 0.373 0.500 O
0.707 0.212 0.700 O
0.740 0.740 0.281 O
0.746 0.746 0.706 O
0.788 0.293 0.300 O
0.871 0.129 0.500 O
0.875 0.125 0.000 O
0.962 0.962 0.204 O
0.991 0.488 0.781 O
```



Entry 2:
The following is a computed powder diffraction line list of Sr10Mg4FeMo5O30. It was derived from a structure optimized by DFT (GGA+U), using Cu Kα, 1.54184 Å.
Intensities are scaled so that the largest is 100.

Peak list (10 most intense, 2θ = 10–90°, low angle first)
2θ 19.2, I 24; 2θ 31.6, I 100; 2θ 31.8, I 54; 2θ 39.0, I 14; 2θ 45.0, I 20; 2θ 45.6, I 36; 2θ 56.1, I 21; 2θ 56.5, I 42; 2θ 65.9, I 22; 2θ 83.8, I 10

Cell and atoms:
```
Sr10Mg4FeMo5O30
1.0
-6.296 6.296 4.032
6.296 -6.296 4.032
6.296 6.296 -4.032
Sr Mg Fe Mo O
10 4 1 5 30
direct
0.049 0.148 0.702 Sr
0.148 0.447 0.099 Sr
0.250 0.750 0.500 Sr
0.348 0.049 0.901 Sr
0.447 0.348 0.298 Sr
0.553 0.652 0.702 Sr
0.652 0.951 0.099 Sr
0.750 0.250 0.500 Sr
0.852 0.553 0.901 Sr
0.951 0.852 0.298 Sr
0.101 0.300 0.400 Mg
0.300 0.899 0.199 Mg
0.700 0.101 0.801 Mg
0.899 0.700 0.600 Mg
0.500 0.500 0.000 Fe
0.000 0.000 0.000 Mo
0.199 0.599 0.798 Mo
0.401 0.199 0.600 Mo
0.599 0.801 0.400 Mo
0.801 0.401 0.202 Mo
0.026 0.154 0.180 O
0.042 0.642 0.201 O
0.047 0.623 0.670 O
0.154 0.974 0.128 O
0.159 0.958 0.600 O
0.177 0.447 0.624 O
0.226 0.751 0.977 O
0.249 0.226 0.474 O
0.250 0.250 0.000 O
0.355 0.575 0.929 O
0.358 0.559 0.400 O
0.377 0.047 0.424 O
0.425 0.355 0.780 O
0.441 0.841 0.799 O
0.447 0.823 0.270 O
0.553 0.177 0.730 O
0.559 0.159 0.201 O
0.575 0.645 0.220 O
0.623 0.953 0.576 O
0.642 0.441 0.600 O
0.645 0.425 0.071 O
0.750 0.750 0.000 O
0.751 0.774 0.526 O
0.774 0.249 0.023 O
0.823 0.553 0.376 O
0.841 0.042 0.400 O
0.846 0.026 0.872 O
0.953 0.377 0.330 O
0.958 0.358 0.799 O
0.974 0.846 0.820 O
```